Calculated X-ray diffraction stick pattern
Compound: Li6NbCo3P6O24
Radiation: Cu Kα (weighted mean of Kα1 and Kα2)
Structure: a cell relaxed with PBE+U
No peak broadening, texture or thermal motion is included.

Structural model:
```
data_Li6NbCo3P6O24
_chemical_formula_sum 'Li6 Nb1 Co3 P6 O24'
_symmetry_space_group_name_H-M 'P 1'
_symmetry_Int_Tables_number 1
_cell_length_a 8.709
_cell_length_b 8.749
_cell_length_c 8.762
_cell_angle_alpha 60.80
_cell_angle_beta 60.61
_cell_angle_gamma 61.16
loop_
_symmetry_equiv_pos_as_xyz
'x,y,z'
loop_
_atom_site_label
_atom_site_type_symbol
_atom_site_fract_x
_atom_site_fract_y
_atom_site_fract_z
Li1 Li 0.000 0.000 0.000
Li2 Li 0.091 0.847 0.525
Li3 Li 0.189 0.330 0.481
Li4 Li 0.389 0.707 0.180
Li5 Li 0.664 0.522 0.812
Li6 Li 0.827 0.186 0.659
Nb1 Nb 0.207 0.537 0.021
Co1 Co 0.006 0.337 0.818
Co2 Co 0.502 0.838 0.309
Co3 Co 0.710 0.047 0.521
P1 P 0.104 0.128 0.214
P2 P 0.310 0.936 0.702
P3 P 0.406 0.436 0.607
P4 P 0.604 0.225 0.127
P5 P 0.799 0.735 0.915
P6 P 0.895 0.647 0.421
O1 O 0.047 0.157 0.061
O2 O 0.091 0.589 0.265
O3 O 0.131 0.107 0.718
O4 O 0.173 0.294 0.152
O5 O 0.249 0.380 0.636
O6 O 0.258 0.783 0.902
O7 O 0.260 0.941 0.244
O8 O 0.326 0.878 0.553
O9 O 0.338 0.500 0.780
O10 O 0.417 0.607 0.430
O11 O 0.454 0.423 0.072
O12 O 0.485 0.956 0.675
O13 O 0.533 0.073 0.171
O14 O 0.589 0.280 0.610
O15 O 0.615 0.770 0.073
O16 O 0.634 0.208 0.291
O17 O 0.734 0.701 0.360
O18 O 0.773 0.231 0.945
O19 O 0.820 0.579 0.865
O20 O 0.828 0.908 0.746
O21 O 0.898 0.804 0.451
O22 O 0.900 0.464 0.588
O23 O 0.950 0.125 0.404
O24 O 0.967 0.662 0.987
```

Main lines, by intensity (2θ = 5–70°):
two_theta, Rel. int., index
23.66, 100, 2 0 1
20.29, 72, 1 2 1
20.02, 45, 0 1 -1
32.27, 43, 1 3 2
28.63, 39, 0 2 2
23.74, 35, 1 2 0
14.20, 34, 0 1 1
20.40, 34, 2 1 1
35.26, 31, 1 1 -2
32.40, 28, 3 1 2